Starting from DFT lattice parameters and positions (GGA-PBE), the powder XRD pattern of TbSm4Er5 was simulated for Cu Ka.
Peak positions follow from Bragg's law for the DFT cell and can differ from measured ones.

The 8 most intense peaks (2θ = 10–90°), sorted by position:
2θ/deg, I/Imax, index
26.2, 362, 2 0 3
27.1, 418, 1 1 1
31.4, 547, 6 0 0
32.0, 485, 4 0 -3
32.2, 344, 0 0 4
34.0, 1000, 3 1 -2
34.1, 939, 3 1 2
48.8, 280, 1 1 -5

Cell and atoms:
a = 17.090 Å, b = 3.516 Å, c = 11.107 Å
α = 90.00°, β = 90.11°, γ = 90.00°
Space group C2/m (No. 12)
Symmetry-distinct sites (fractional):
Tb 0.000 0.000 0.000 (multiplicity 2)
Sm 0.030 0.500 0.749 (multiplicity 4)
Sm 0.155 0.000 0.250 (multiplicity 4)
Er 0.000 0.000 0.500 (multiplicity 2)
Er 0.173 0.500 0.550 (multiplicity 4)
Er 0.174 0.500 0.948 (multiplicity 4)

Starting from DFT lattice parameters and positions (GGA-PBE), the powder XRD pattern of Tb2Sm7Er3 was simulated for Cu Ka.
Peak positions follow from Bragg's law for the DFT cell and can differ from measured ones.

The 8 most intense peaks (2θ = 10–90°), sorted by position:
2θ/deg, I/Imax, index
28.2, 191, 0 12 0
30.2, 397, 1 11 0
31.1, 826, 2 0 0
31.5, 1000, 1 5 1
33.6, 347, 1 7 1
34.5, 269, 1 13 0
44.6, 183, 2 8 1
55.6, 201, 3 5 1

Cell and atoms:
a = 5.750 Å, b = 37.953 Å, c = 3.619 Å
α = 90.00°, β = 90.00°, γ = 90.00°
Space group Cmmm (No. 65)
Symmetry-distinct sites (fractional):
Tb 0.000 0.149 0.000 (multiplicity 4)
Sm 0.000 0.000 0.000 (multiplicity 2)
Sm 0.000 0.072 0.500 (multiplicity 4)
Sm 0.000 0.232 0.000 (multiplicity 4)
Sm 0.000 0.408 0.000 (multiplicity 4)
Er 0.000 0.315 0.500 (multiplicity 4)
Er 0.000 0.500 0.500 (multiplicity 2)

Starting from DFT lattice parameters and positions (GGA-PBE), the powder XRD pattern of Tb7Sm3Er was simulated for Cu Ka.
Peak positions follow from Bragg's law for the DFT cell and can differ from measured ones.

The 8 most intense peaks (2θ = 10–90°), sorted by position:
2θ/deg, I/Imax, index
25.2, 191, 0 3 1
28.4, 131, 1 0 3
30.5, 404, 2 0 0
31.9, 166, 0 0 4
32.0, 155, 0 4 0
32.6, 1000, 1 3 2
44.8, 131, 2 0 4
55.6, 220, 3 3 2

Cell and atoms:
a = 5.853 Å, b = 11.171 Å, c = 11.222 Å
α = 90.00°, β = 90.00°, γ = 90.00°
Space group Immm (No. 71)
Symmetry-distinct sites (fractional):
Tb 0.000 0.000 0.000 (multiplicity 2)
Tb 0.000 0.207 0.500 (multiplicity 4)
Tb 0.000 0.299 0.201 (multiplicity 8)
Sm 0.000 0.000 0.289 (multiplicity 4)
Sm 0.000 0.500 0.000 (multiplicity 2)
Er 0.000 0.500 0.500 (multiplicity 2)

Starting from DFT lattice parameters and positions (GGA-PBE), the powder XRD pattern of Tb8Sm3Er was simulated for Cu Ka.
Peak positions follow from Bragg's law for the DFT cell and can differ from measured ones.

The 8 most intense peaks (2θ = 10–90°), sorted by position:
2θ/deg, I/Imax, index
24.1, 653, 2 1 1
25.8, 517, 2 0 2
29.0, 803, 2 2 0
31.5, 726, 0 0 4
33.0, 603, 2 2 2
36.2, 1000, 3 1 2
43.3, 534, 2 2 4
44.5, 650, 4 0 2

Cell and atoms:
a = 8.721 Å, b = 8.721 Å, c = 11.356 Å
α = 90.00°, β = 90.00°, γ = 90.00°
Space group I-42m (No. 121)
Symmetry-distinct sites (fractional):
Tb 0.126 0.126 0.248 (multiplicity 8)
Tb 0.247 0.247 0.994 (multiplicity 8)
Sm 0.000 0.000 0.500 (multiplicity 2)
Sm 0.000 0.500 0.250 (multiplicity 4)
Er 0.000 0.000 0.000 (multiplicity 2)

Starting from DFT lattice parameters and positions (GGA-PBE), the powder XRD pattern of Tb2Sm6Er was simulated for Cu Ka.
Peak positions follow from Bragg's law for the DFT cell and can differ from measured ones.

The 8 most intense peaks (2θ = 10–90°), sorted by position:
2θ/deg, I/Imax, index
29.1, 372, 3 1 0
30.4, 1000, 0 6 0
32.8, 374, 2 2 1
37.4, 199, 2 4 1
38.6, 210, 3 5 0
52.4, 117, 2 8 1
57.6, 194, 5 3 1
59.8, 112, 0 6 2

Cell and atoms:
a = 9.355 Å, b = 17.604 Å, c = 3.639 Å
α = 90.00°, β = 90.00°, γ = 90.00°
Space group Cmmm (No. 65)
Symmetry-distinct sites (fractional):
Tb 0.000 0.178 0.000 (multiplicity 4)
Sm 0.177 0.336 0.500 (multiplicity 8)
Sm 0.185 0.500 0.000 (multiplicity 4)
Er 0.000 0.000 0.500 (multiplicity 2)

Starting from DFT lattice parameters and positions (GGA-PBE), the powder XRD pattern of Tb3Sm8Er3 was simulated for Cu Ka.
Peak positions follow from Bragg's law for the DFT cell and can differ from measured ones.

The 8 most intense peaks (2θ = 10–90°), sorted by position:
2θ/deg, I/Imax, index
28.9, 110, 1 2 3
29.7, 224, 1 1 4
30.5, 189, 0 3 3
31.7, 1000, 2 0 0
33.7, 327, 1 0 5
44.5, 134, 2 3 3
56.4, 135, 3 3 2
62.1, 102, 1 6 5

Cell and atoms:
a = 5.653 Å, b = 10.853 Å, c = 15.053 Å
α = 90.00°, β = 90.00°, γ = 90.00°
Space group Immm (No. 71)
Symmetry-distinct sites (fractional):
Tb 0.000 0.000 0.000 (multiplicity 2)
Tb 0.000 0.500 0.320 (multiplicity 4)
Sm 0.000 0.158 0.277 (multiplicity 8)
Sm 0.000 0.339 0.103 (multiplicity 8)
Er 0.000 0.000 0.500 (multiplicity 2)
Er 0.000 0.300 0.500 (multiplicity 4)

Starting from DFT lattice parameters and positions (GGA-PBE), the powder XRD pattern of Tb8Sm4Er was simulated for Cu Ka.
Peak positions follow from Bragg's law for the DFT cell and can differ from measured ones.

The 8 most intense peaks (2θ = 10–90°), sorted by position:
2θ/deg, I/Imax, index
19.7, 109, 0 0 3
22.8, 72, 2 0 2
32.5, 1000, 2 2 0
38.3, 60, 2 2 3
46.7, 180, 4 0 4
58.0, 279, 6 0 0
58.1, 92, 2 0 8
77.5, 153, 6 2 4

Cell and atoms:
a = 11.0210 Å, b = 11.0210 Å, c = 13.4678 Å
α = 90.00°, β = 90.00°, γ = 120.00°
Space group R-3m (No. 166, hexagonal axes)
Symmetry-distinct sites (fractional):
Tb 0.0000 0.0000 0.2400 (multiplicity 6)
Tb 0.0127 0.5064 0.7464 (multiplicity 18)
Sm 0.0000 0.0000 0.0000 (multiplicity 3)
Sm 0.0000 0.5000 0.0000 (multiplicity 9)
Er 0.0000 0.0000 0.5000 (multiplicity 3)

Starting from DFT lattice parameters and positions (GGA-PBE), the powder XRD pattern of Tb4Sm3Er8 was simulated for Cu Ka.
Peak positions follow from Bragg's law for the DFT cell and can differ from measured ones.

The 8 most intense peaks (2θ = 10–90°), sorted by position:
2θ/deg, I/Imax, index
27.9, 354, 0 4 0
30.9, 1000, 4 0 -2
31.1, 478, 4 0 0
32.0, 294, 2 4 -1
42.1, 461, 4 4 -2
42.3, 219, 4 4 0
55.2, 180, 8 0 -2
66.8, 204, 4 8 -2

Cell and atoms:
a = 13.316 Å, b = 12.789 Å, c = 6.704 Å
α = 90.00°, β = 120.19°, γ = 90.00°
Space group C2/m (No. 12)
Symmetry-distinct sites (fractional):
Tb 0.000 0.000 0.000 (multiplicity 2)
Tb 0.000 0.000 0.500 (multiplicity 2)
Tb 0.250 0.250 0.000 (multiplicity 4)
Sm 0.000 0.500 0.500 (multiplicity 2)
Sm 0.250 0.250 0.500 (multiplicity 4)
Er 0.000 0.253 0.500 (multiplicity 4)
Er 0.000 0.361 0.000 (multiplicity 4)
Er 0.233 0.500 0.469 (multiplicity 4)
Er 0.235 0.500 0.992 (multiplicity 4)

Starting from DFT lattice parameters and positions (GGA-PBE), the powder XRD pattern of TbSmEr2 was simulated for Cu Ka.
Peak positions follow from Bragg's law for the DFT cell and can differ from measured ones.

The 8 most intense peaks (2θ = 10–90°), sorted by position:
2θ/deg, I/Imax, index
30.8, 1000, 1 1 1
31.0, 329, 0 0 4
35.8, 672, 2 0 2
51.5, 241, 0 2 0
51.7, 238, 1 1 5
61.3, 333, 4 0 0
61.5, 141, 2 0 6
64.3, 123, 2 2 2

Cell and atoms:
a = 6.152 Å, b = 3.552 Å, c = 11.717 Å
α = 90.00°, β = 100.06°, γ = 90.00°
Space group C2 (No. 5)
Symmetry-distinct sites (fractional):
Tb 0.000 0.000 0.000 (multiplicity 2)
Sm 0.000 0.498 0.500 (multiplicity 2)
Er 0.250 0.000 0.752 (multiplicity 4)

Starting from DFT lattice parameters and positions (GGA-PBE), the powder XRD pattern of Tb4Sm19Er6 was simulated for Cu Ka.
Peak positions follow from Bragg's law for the DFT cell and can differ from measured ones.

The 8 most intense peaks (2θ = 10–90°), sorted by position:
2θ/deg, I/Imax, index
26.5, 490, 3 2 1
28.4, 560, 4 0 0
30.1, 1000, 4 1 1
34.9, 391, 4 2 2
36.4, 729, 4 3 1
53.5, 252, 6 3 3
59.7, 283, 7 4 1
60.7, 233, 8 2 0

Cell and atoms:
a = 12.579 Å, b = 12.579 Å, c = 12.579 Å
α = 90.00°, β = 90.00°, γ = 90.00°
Space group I23 (No. 197)
Symmetry-distinct sites (fractional):
Tb 0.180 0.180 0.180 (multiplicity 8)
Sm 0.000 0.000 0.000 (multiplicity 2)
Sm 0.000 0.000 0.261 (multiplicity 12)
Sm 0.062 0.280 0.737 (multiplicity 24)
Er 0.000 0.125 0.500 (multiplicity 12)

Starting from DFT lattice parameters and positions (GGA-PBE), the powder XRD pattern of Tb3Sm3Er4 was simulated for Cu Ka.
Peak positions follow from Bragg's law for the DFT cell and can differ from measured ones.

The 8 most intense peaks (2θ = 10–90°), sorted by position:
2θ/deg, I/Imax, index
26.8, 134, 0 4 0
30.0, 628, 0 4 2
30.9, 312, 1 2 2
32.4, 1000, 1 1 3
34.3, 154, 0 1 5
55.7, 188, 1 4 6
58.5, 151, 1 7 3
59.2, 185, 2 4 2

Cell and atoms:
a = 3.663 Å, b = 13.303 Å, c = 13.329 Å
α = 90.00°, β = 90.00°, γ = 90.00°
Space group Amm2 (No. 38)
Symmetry-distinct sites (fractional):
Tb 0.000 0.000 0.000 (multiplicity 2)
Tb 0.500 0.248 0.075 (multiplicity 4)
Sm 0.000 0.000 0.652 (multiplicity 2)
Sm 0.000 0.174 0.325 (multiplicity 4)
Er 0.500 0.000 0.201 (multiplicity 2)
Er 0.500 0.000 0.450 (multiplicity 2)
Er 0.500 0.124 0.827 (multiplicity 4)

Starting from DFT lattice parameters and positions (GGA-PBE), the powder XRD pattern of Tb6Sm12Er was simulated for Cu Ka.
Peak positions follow from Bragg's law for the DFT cell and can differ from measured ones.

The 8 most intense peaks (2θ = 10–90°), sorted by position:
2θ/deg, I/Imax, index
30.6, 417, 0 1 5
31.1, 266, 0 3 3
31.4, 1000, 4 -3 1
32.7, 666, 2 1 4
33.0, 300, 3 1 2
34.6, 179, 4 -2 3
44.6, 135, 3 2 4
54.8, 193, 2 5 0

Cell and atoms:
a = 12.0786 Å, b = 12.0786 Å, c = 15.2132 Å
α = 90.00°, β = 90.00°, γ = 120.00°
Space group R-3 (No. 148, hexagonal axes)
Symmetry-distinct sites (fractional):
Tb 0.0141 0.5888 0.1855 (multiplicity 18)
Sm 0.0051 0.1746 0.6908 (multiplicity 18)
Sm 0.0457 0.1952 0.9163 (multiplicity 18)
Er 0.0000 0.0000 0.5000 (multiplicity 3)

Starting from DFT lattice parameters and positions (GGA-PBE), the powder XRD pattern of TbSm5Er5 was simulated for Cu Ka.
Peak positions follow from Bragg's law for the DFT cell and can differ from measured ones.

The 8 most intense peaks (2θ = 10–90°), sorted by position:
2θ/deg, I/Imax, index
28.5, 1000, 1 0 3
29.5, 858, 1 1 0
30.5, 492, 0 0 4
35.1, 696, 1 0 4
37.6, 528, 2 0 2
46.5, 342, 0 0 6
51.7, 385, 2 1 3
52.3, 288, 3 0 0

Cell and atoms:
a = 6.0618 Å, b = 6.0618 Å, c = 11.7162 Å
α = 90.00°, β = 90.00°, γ = 120.00°
Space group P-6m2 (No. 187)
Symmetry-distinct sites (fractional):
Tb 0.0000 0.0000 0.0000 (multiplicity 1)
Sm 0.0000 0.0000 0.3166 (multiplicity 2)
Sm 0.3333 0.6667 0.1536 (multiplicity 2)
Sm 0.6667 0.3333 0.0000 (multiplicity 1)
Er 0.0003 0.5001 0.5000 (multiplicity 3)
Er 0.6667 0.3333 0.2658 (multiplicity 2)